[1]
LiAcNb4N8: theoretical powder XRD pattern (Cu Kα, 1.54184 Å), based on DFT lattice parameters and positions (GGA-PBE).
Lines closer than 0.1° are merged.

Structural model:
a b c (Å): 6.5926 6.5926 6.5926
angles (deg): 58.23 58.23 58.23
Sites, in units of the cell vectors:
Li: 0.0000 0.0000 0.0000
Ac: 0.3751 0.3751 0.3751
Nb: 0.0036 0.0036 0.4847
Nb: 0.0036 0.4847 0.0036
Nb: 0.4847 0.0036 0.0036
Nb: 0.6241 0.6241 0.6241
N: 0.2321 0.2321 0.2321
N: 0.2418 0.2418 0.8205
N: 0.2418 0.8205 0.2418
N: 0.2529 0.7401 0.7401
N: 0.7401 0.2529 0.7401
N: 0.7401 0.7401 0.2529
N: 0.7607 0.7607 0.7607
N: 0.8205 0.2418 0.2418

Principal peaks in the range 10 to 80 degrees two-theta, by angle:
2θ (°)	I (rel.)
16.85	40
27.07	100
31.74	46
32.38	81
32.70	92
48.75	37

[2]
LiAc2PaN4: theoretical powder XRD pattern (Cu Kα, 1.54184 Å), based on DFT lattice parameters and positions (GGA-PBE).
Lines closer than 0.1° are merged.

Structural model:
a b c (Å): 5.4776 5.4776 5.4776
angles (deg): 108.98 108.98 110.45
Sites, in units of the cell vectors:
Li: 0.0000 0.0000 0.0000
Ac: 0.0000 0.5000 0.5000
Ac: 0.5000 0.0000 0.5000
Pa: 0.5000 0.5000 0.0000
N: 0.0746 0.4288 0.0000
N: 0.4288 0.0746 0.0000
N: 0.5712 0.5712 0.6458
N: 0.9254 0.9254 0.3542

Principal peaks in the range 10 to 80 degrees two-theta, by angle:
2θ (°)	I (rel.)
19.92	55
28.05	100
28.57	44
40.08	46
40.47	94
49.96	45

[3]
Li2AcSN: theoretical powder XRD pattern (Cu Kα, 1.54184 Å), based on DFT lattice parameters and positions (GGA-PBE).
Lines closer than 0.1° are merged.

Structural model:
a b c (Å): 6.6328 6.6328 6.6328
angles (deg): 125.99 125.99 79.90
Sites, in units of the cell vectors:
Li: 0.1922 0.6922 0.8844
Li: 0.3078 0.1922 0.5000
Li: 0.6922 0.8078 0.5000
Li: 0.8078 0.3078 0.1156
Ac: 0.2564 0.2564 0.0000
Ac: 0.7564 0.7564 0.0000
S: 0.2860 0.7860 0.5000
S: 0.7860 0.2860 0.5000
N: 0.0135 0.0135 0.0000
N: 0.5135 0.5135 0.0000

Principal peaks in the range 10 to 80 degrees two-theta, by angle:
2θ (°)	I (rel.)
17.44	99
20.86	100
27.31	81
29.66	74
34.62	87
46.76	39

[4]
Li2AcSeN: theoretical powder XRD pattern (Cu Kα, 1.54184 Å), based on DFT lattice parameters and positions (GGA-PBE).
Lines closer than 0.1° are merged.

Structural model:
a b c (Å): 6.6786 6.6786 6.6786
angles (deg): 124.07 124.07 83.09
Sites, in units of the cell vectors:
Li: 0.1910 0.6910 0.8820
Li: 0.3090 0.1910 0.5000
Li: 0.6910 0.8090 0.5000
Li: 0.8090 0.3090 0.1180
Ac: 0.2500 0.2500 0.0000
Ac: 0.7500 0.7500 0.0000
Se: 0.2500 0.7500 0.5000
Se: 0.7500 0.2500 0.5000
N: 0.0000 0.0000 0.0000
N: 0.5000 0.5000 0.0000

Principal peaks in the range 10 to 80 degrees two-theta, by angle:
2θ (°)	I (rel.)
17.74	100
20.05	47
28.50	81
33.77	96
44.76	41
46.49	43

[5]
LiAcTiN3: theoretical powder XRD pattern (Cu Kα, 1.54184 Å), based on DFT lattice parameters and positions (GGA-PBE).
Lines closer than 0.1° are merged.

Structural model:
a b c (Å): 5.8971 5.8971 5.4586
angles (deg): 90.00 90.00 123.44
Sites, in units of the cell vectors:
Li: 0.0711 0.9289 0.7500
Li: 0.9289 0.0711 0.2500
Ac: 0.2192 0.7808 0.2500
Ac: 0.7808 0.2192 0.7500
Ti: 0.4495 0.5505 0.7500
Ti: 0.5505 0.4495 0.2500
N: 0.2533 0.2533 0.0000
N: 0.2533 0.2533 0.5000
N: 0.2665 0.7335 0.7500
N: 0.7335 0.2665 0.2500
N: 0.7467 0.7467 0.0000
N: 0.7467 0.7467 0.5000

Principal peaks in the range 10 to 80 degrees two-theta, by angle:
2θ (°)	I (rel.)
17.07	35
24.35	100
32.04	25
32.81	24
34.61	70
46.52	26

[6]
LiAc2TlN: theoretical powder XRD pattern (Cu Kα, 1.54184 Å), based on DFT lattice parameters and positions (GGA-PBE).
Lines closer than 0.1° are merged.

Structural model:
a b c (Å): 7.7413 4.0402 9.0473
angles (deg): 90.00 109.44 90.00
Sites, in units of the cell vectors:
Li: 0.0794 0.2500 0.2178
Li: 0.9206 0.7500 0.7822
Ac: 0.2949 0.7500 0.5216
Ac: 0.3500 0.7500 0.1296
Ac: 0.6500 0.2500 0.8704
Ac: 0.7051 0.2500 0.4784
Tl: 0.1663 0.2500 0.7910
Tl: 0.8337 0.7500 0.2090
N: 0.3605 0.2500 0.3232
N: 0.6395 0.7500 0.6768

Principal peaks in the range 10 to 80 degrees two-theta, by angle:
2θ (°)	I (rel.)
24.38	100
26.33	43
29.66	46
30.12	80
30.47	55
33.07	72